Structure and calculated powder XRD pattern of NdSi2Rh3 (the GGA-PBE geometry in the Materials Project; Cu Kα, 1.54184 Å).
Peak positions follow from Bragg's law for the DFT cell and can differ from measured ones.

a = 5.5978 Å, b = 5.5978 Å, c = 3.6871 Å
α = 90.00°, β = 90.00°, γ = 120.00°
Space group P6/mmm (No. 191)
Symmetry-distinct sites (fractional):
Nd (0.0000, 0.0000, 0.0000) x1
Si (0.3333, 0.6667, 0.0000) x2
Rh (0.0000, 0.5000, 0.5000) x3

Largest 8 diffraction maxima, by intensity, 2θ = 5–70°:
| 2θ (°) | intensity |
| --- | --- |
| 37.1 | 100.0 |
| 30.5 | 88.8 |
| 40.5 | 78.6 |
| 63.4 | 40.9 |
| 56.0 | 31.6 |
| 44.7 | 24.9 |
| 66.9 | 24.8 |
| 62.8 | 21.2 |



Structure and calculated powder XRD pattern of NdSi2Rh3 (the GGA-PBE geometry in the Materials Project; Cu Kα, 1.54184 Å).
Peak positions follow from Bragg's law for the DFT cell and can differ from measured ones.

a = 7.1849 Å, b = 9.7884 Å, c = 5.6242 Å
α = 90.00°, β = 90.00°, γ = 90.00°
Space group Imma (No. 74)
Symmetry-distinct sites (fractional):
Nd (0.0000, 0.2500, 0.2106) x4
Si (0.0000, 0.0785, 0.6979) x8
Rh (0.2163, 0.0000, 0.0000) x8
Rh (0.2500, 0.2500, 0.7500) x4

Largest 8 diffraction maxima, by intensity, 2θ = 5–70°:
| 2θ (°) | intensity |
| --- | --- |
| 30.9 | 100.0 |
| 40.7 | 84.9 |
| 36.9 | 80.0 |
| 36.7 | 44.4 |
| 64.4 | 33.0 |
| 56.0 | 22.7 |
| 44.9 | 19.7 |
| 66.2 | 19.0 |



Structure and calculated powder XRD pattern of Nd5Sn15Rh8 (the GGA-PBE geometry in the Materials Project; Cu Kα, 1.54184 Å).
Peak positions follow from Bragg's law for the DFT cell and can differ from measured ones.

a = 7.3104 Å, b = 4.5388 Å, c = 18.7560 Å
α = 90.00°, β = 90.09°, γ = 90.00°
Space group Pm (No. 6)
Symmetry-distinct sites (fractional):
Nd (0.0000, 0.0000, 0.0000) x1
Nd (0.0004, 0.5000, 0.2844) x1
Nd (0.5011, 0.0000, 0.4982) x1
Nd (0.5022, 0.5000, 0.7858) x1
Nd (0.9957, 0.5000, 0.7112) x1
Sn (0.0115, 0.0000, 0.5744) x1
Sn (0.1325, 0.0000, 0.1733) x1
Sn (0.1965, 0.5000, 0.4573) x1
Sn (0.2182, 0.0000, 0.8347) x1
Sn (0.2785, 0.0000, 0.3368) x1
Sn (0.3065, 0.5000, 0.9623) x1
Sn (0.3545, 0.0000, 0.6726) x1
Sn (0.4826, 0.0000, 0.0733) x1
Sn (0.5179, 0.5000, 0.2091) x1
Sn (0.6340, 0.5000, 0.6096) x1
Sn (0.6983, 0.0000, 0.3242) x1
Sn (0.7186, 0.5000, 0.9477) x1
Sn (0.7771, 0.5000, 0.4477) x1
Sn (0.8040, 0.0000, 0.8221) x1
Sn (0.8663, 0.5000, 0.1112) x1
Rh (0.0217, 0.5000, 0.8672) x1
Rh (0.2517, 0.5000, 0.1080) x1
Rh (0.2653, 0.5000, 0.5976) x1
Rh (0.4851, 0.5000, 0.3532) x1
Rh (0.5184, 0.0000, 0.9257) x1
Rh (0.7303, 0.0000, 0.6758) x1
Rh (0.7471, 0.0000, 0.1775) x1
Rh (0.9822, 0.0000, 0.4286) x1

Largest 8 diffraction maxima, by intensity, 2θ = 5–70°:
| 2θ (°) | intensity |
| --- | --- |
| 32.9 | 100.0 |
| 39.7 | 68.1 |
| 33.3 | 66.8 |
| 35.7 | 29.3 |
| 43.0 | 21.3 |
| 34.8 | 20.6 |
| 54.4 | 18.3 |
| 62.9 | 14.7 |



Structure and calculated powder XRD pattern of NdSn4Rh2 (the GGA-PBE geometry in the Materials Project; Cu Kα, 1.54184 Å).
Peak positions follow from Bragg's law for the DFT cell and can differ from measured ones.

a = 18.7070 Å, b = 4.5259 Å, c = 7.2581 Å
α = 90.00°, β = 90.00°, γ = 90.00°
Space group Pnma (No. 62)
Symmetry-distinct sites (fractional):
Nd (0.1418, 0.2500, 0.0024) x4
Sn (0.0315, 0.7500, 0.8653) x4
Sn (0.0682, 0.2500, 0.4833) x4
Sn (0.1821, 0.7500, 0.3021) x4
Sn (0.1947, 0.7500, 0.7225) x4
Rh (0.0350, 0.7500, 0.2498) x4
Rh (0.2138, 0.2500, 0.5173) x4

Largest 8 diffraction maxima, by intensity, 2θ = 5–70°:
| 2θ (°) | intensity |
| --- | --- |
| 33.1 | 100.0 |
| 33.4 | 61.6 |
| 39.8 | 51.8 |
| 35.8 | 29.4 |
| 43.2 | 21.7 |
| 34.9 | 21.6 |
| 54.6 | 20.3 |
| 43.5 | 19.3 |



Structure and calculated powder XRD pattern of NdZnRh (the GGA-PBE geometry in the Materials Project; Cu Kα, 1.54184 Å).
Peak positions follow from Bragg's law for the DFT cell and can differ from measured ones.

a = 7.3111 Å, b = 4.0407 Å, c = 16.5247 Å
α = 90.00°, β = 90.00°, γ = 90.00°
Space group Pnma (No. 62)
Symmetry-distinct sites (fractional):
Nd (0.0482, 0.2500, 0.2162) x4
Nd (0.1668, 0.2500, 0.4394) x4
Zn (0.0016, 0.7500, 0.0607) x4
Zn (0.1243, 0.2500, 0.6507) x4
Rh (0.2445, 0.2500, 0.0647) x4
Rh (0.2470, 0.2500, 0.8138) x4

Largest 8 diffraction maxima, by intensity, 2θ = 5–70°:
| 2θ (°) | intensity |
| --- | --- |
| 37.0 | 100.0 |
| 33.4 | 74.0 |
| 35.1 | 53.4 |
| 43.1 | 48.3 |
| 44.9 | 45.6 |
| 33.0 | 42.6 |
| 37.3 | 32.4 |
| 36.7 | 22.1 |



Structure and calculated powder XRD pattern of Nd3Ru (the GGA-PBE geometry in the Materials Project; Cu Kα, 1.54184 Å).
Peak positions follow from Bragg's law for the DFT cell and can differ from measured ones.

a = 7.4249 Å, b = 9.7373 Å, c = 6.5086 Å
α = 90.00°, β = 90.00°, γ = 90.00°
Space group Pnma (No. 62)
Symmetry-distinct sites (fractional):
Nd (0.0399, 0.2500, 0.1430) x4
Nd (0.1754, 0.0678, 0.6736) x8
Ru (0.1141, 0.7500, 0.4500) x4

Largest 8 diffraction maxima, by intensity, 2θ = 5–70°:
| 2θ (°) | intensity |
| --- | --- |
| 30.8 | 100.0 |
| 31.4 | 91.5 |
| 33.1 | 82.4 |
| 33.3 | 75.0 |
| 30.3 | 62.9 |
| 29.2 | 53.5 |
| 56.4 | 45.1 |
| 30.0 | 42.6 |



Structure and calculated powder XRD pattern of Nd5Ru2 (the GGA-PBE geometry in the Materials Project; Cu Kα, 1.54184 Å).
Peak positions follow from Bragg's law for the DFT cell and can differ from measured ones.

a = 16.4391 Å, b = 6.5953 Å, c = 7.3874 Å
α = 90.00°, β = 96.60°, γ = 90.00°
Space group C2/c (No. 15)
Symmetry-distinct sites (fractional):
Nd (0.0000, 0.0795, 0.2500) x4
Nd (0.0929, 0.3859, 0.9149) x8
Nd (0.2172, 0.0765, 0.3149) x8
Ru (0.1104, 0.2123, 0.5756) x8

Largest 8 diffraction maxima, by intensity, 2θ = 5–70°:
| 2θ (°) | intensity |
| --- | --- |
| 30.5 | 100.0 |
| 30.9 | 84.8 |
| 29.7 | 79.7 |
| 39.1 | 58.2 |
| 27.8 | 55.0 |
| 34.1 | 50.5 |
| 32.2 | 46.6 |
| 33.8 | 45.1 |



Structure and calculated powder XRD pattern of NdSb12Ru4 (the GGA-PBE geometry in the Materials Project; Cu Kα, 1.54184 Å).
Peak positions follow from Bragg's law for the DFT cell and can differ from measured ones.

a = 9.3915 Å, b = 9.3915 Å, c = 9.3915 Å
α = 90.00°, β = 90.00°, γ = 90.00°
Space group Im-3 (No. 204)
Symmetry-distinct sites (fractional):
Nd (0.0000, 0.0000, 0.0000) x2
Sb (0.0000, 0.3391, 0.1580) x24
Ru (0.2500, 0.2500, 0.2500) x8

Largest 8 diffraction maxima, by intensity, 2θ = 5–70°:
| 2θ (°) | intensity |
| --- | --- |
| 30.1 | 100.0 |
| 35.8 | 46.7 |
| 47.4 | 32.5 |
| 49.5 | 27.8 |
| 43.1 | 22.4 |
| 67.7 | 17.8 |
| 57.2 | 13.7 |
| 59.0 | 7.5 |



Structure and calculated powder XRD pattern of NdSi2Ru2 (the GGA-PBE geometry in the Materials Project; Cu Kα, 1.54184 Å).
Peak positions follow from Bragg's law for the DFT cell and can differ from measured ones.

a = 4.2246 Å, b = 4.2246 Å, c = 9.8322 Å
α = 90.00°, β = 90.00°, γ = 90.00°
Space group I4/mmm (No. 139)
Symmetry-distinct sites (fractional):
Nd (0.0000, 0.0000, 0.0000) x2
Si (0.0000, 0.0000, 0.3643) x4
Ru (0.0000, 0.5000, 0.2500) x4

Largest 8 diffraction maxima, by intensity, 2θ = 5–70°:
| 2θ (°) | intensity |
| --- | --- |
| 35.2 | 100.0 |
| 42.8 | 40.4 |
| 34.6 | 32.6 |
| 22.9 | 27.8 |
| 64.9 | 19.3 |
| 57.5 | 17.8 |
| 36.6 | 16.7 |
| 56.2 | 16.1 |



Structure and calculated powder XRD pattern of Nd20Si9Ru3 (the GGA-PBE geometry in the Materials Project; Cu Kα, 1.54184 Å).
Peak positions follow from Bragg's law for the DFT cell and can differ from measured ones.

a = 13.8714 Å, b = 10.9383 Å, c = 11.1629 Å
α = 90.00°, β = 90.00°, γ = 90.00°
Space group Amm2 (No. 38)
Symmetry-distinct sites (fractional):
Nd (0.0000, 0.2429, 0.0000) x4
Nd (0.1446, 0.0000, 0.0733) x4
Nd (0.1459, 0.1694, 0.7517) x8
Nd (0.1492, 0.0000, 0.4268) x4
Nd (0.3547, 0.0000, 0.5739) x4
Nd (0.3594, 0.0000, 0.9325) x4
Nd (0.3593, 0.1662, 0.2496) x8
Nd (0.5000, 0.2469, 0.4993) x4
Si (0.0000, 0.0000, 0.6286) x2
Si (0.0000, 0.1142, 0.2549) x4
Si (0.2488, 0.2503, 0.0015) x8
Si (0.5000, 0.1141, 0.7512) x4
Ru (0.0000, 0.0000, 0.8666) x2
Ru (0.5000, 0.0000, 0.1232) x2
Ru (0.5000, 0.0000, 0.3811) x2

Largest 8 diffraction maxima, by intensity, 2θ = 5–70°:
| 2θ (°) | intensity |
| --- | --- |
| 31.9 | 100.0 |
| 32.3 | 90.9 |
| 34.6 | 80.2 |
| 26.1 | 54.7 |
| 36.6 | 42.0 |
| 36.1 | 36.1 |
| 51.9 | 27.2 |
| 39.0 | 25.9 |



Structure and calculated powder XRD pattern of NdSi2Ru3 (the GGA-PBE geometry in the Materials Project; Cu Kα, 1.54184 Å).
Peak positions follow from Bragg's law for the DFT cell and can differ from measured ones.

a = 5.6525 Å, b = 5.6525 Å, c = 3.6190 Å
α = 90.00°, β = 90.00°, γ = 120.00°
Space group P6/mmm (No. 191)
Symmetry-distinct sites (fractional):
Nd (0.0000, 0.0000, 0.0000) x1
Si (0.3333, 0.6667, 0.0000) x2
Ru (0.0000, 0.5000, 0.5000) x3

Largest 8 diffraction maxima, by intensity, 2θ = 5–70°:
| 2θ (°) | intensity |
| --- | --- |
| 36.7 | 100.0 |
| 30.7 | 85.5 |
| 40.5 | 77.7 |
| 64.0 | 38.6 |
| 55.8 | 31.5 |
| 66.1 | 25.0 |
| 44.7 | 23.2 |
| 62.4 | 21.3 |



Structure and calculated powder XRD pattern of NdSn6Ru4 (the GGA-PBE geometry in the Materials Project; Cu Kα, 1.54184 Å).
Peak positions follow from Bragg's law for the DFT cell and can differ from measured ones.

a = 6.9462 Å, b = 6.9462 Å, c = 9.8862 Å
α = 90.00°, β = 90.00°, γ = 90.00°
Space group I-42m (No. 121)
Symmetry-distinct sites (fractional):
Nd (0.0000, 0.0000, 0.0000) x2
Sn (0.0000, 0.5000, 0.0000) x4
Sn (0.1759, 0.1759, 0.7057) x8
Ru (0.1723, 0.1723, 0.4223) x8

Largest 8 diffraction maxima, by intensity, 2θ = 5–70°:
| 2θ (°) | intensity |
| --- | --- |
| 39.9 | 100.0 |
| 30.2 | 83.3 |
| 31.5 | 83.3 |
| 40.0 | 69.9 |
| 40.9 | 69.3 |
| 41.1 | 57.5 |
| 36.6 | 52.6 |
| 61.9 | 37.2 |



Repeat the third record exactly.
Structure and calculated powder XRD pattern of Nd5Sn15Rh8 (the GGA-PBE geometry in the Materials Project; Cu Kα, 1.54184 Å).
Peak positions follow from Bragg's law for the DFT cell and can differ from measured ones.

a = 7.3104 Å, b = 4.5388 Å, c = 18.7560 Å
α = 90.00°, β = 90.09°, γ = 90.00°
Space group Pm (No. 6)
Symmetry-distinct sites (fractional):
Nd (0.0000, 0.0000, 0.0000) x1
Nd (0.0004, 0.5000, 0.2844) x1
Nd (0.5011, 0.0000, 0.4982) x1
Nd (0.5022, 0.5000, 0.7858) x1
Nd (0.9957, 0.5000, 0.7112) x1
Sn (0.0115, 0.0000, 0.5744) x1
Sn (0.1325, 0.0000, 0.1733) x1
Sn (0.1965, 0.5000, 0.4573) x1
Sn (0.2182, 0.0000, 0.8347) x1
Sn (0.2785, 0.0000, 0.3368) x1
Sn (0.3065, 0.5000, 0.9623) x1
Sn (0.3545, 0.0000, 0.6726) x1
Sn (0.4826, 0.0000, 0.0733) x1
Sn (0.5179, 0.5000, 0.2091) x1
Sn (0.6340, 0.5000, 0.6096) x1
Sn (0.6983, 0.0000, 0.3242) x1
Sn (0.7186, 0.5000, 0.9477) x1
Sn (0.7771, 0.5000, 0.4477) x1
Sn (0.8040, 0.0000, 0.8221) x1
Sn (0.8663, 0.5000, 0.1112) x1
Rh (0.0217, 0.5000, 0.8672) x1
Rh (0.2517, 0.5000, 0.1080) x1
Rh (0.2653, 0.5000, 0.5976) x1
Rh (0.4851, 0.5000, 0.3532) x1
Rh (0.5184, 0.0000, 0.9257) x1
Rh (0.7303, 0.0000, 0.6758) x1
Rh (0.7471, 0.0000, 0.1775) x1
Rh (0.9822, 0.0000, 0.4286) x1

Largest 8 diffraction maxima, by intensity, 2θ = 5–70°:
| 2θ (°) | intensity |
| --- | --- |
| 32.9 | 100.0 |
| 39.7 | 68.1 |
| 33.3 | 66.8 |
| 35.7 | 29.3 |
| 43.0 | 21.3 |
| 34.8 | 20.6 |
| 54.4 | 18.3 |
| 62.9 | 14.7 |



Repeat the fifth record exactly.
Structure and calculated powder XRD pattern of NdZnRh (the GGA-PBE geometry in the Materials Project; Cu Kα, 1.54184 Å).
Peak positions follow from Bragg's law for the DFT cell and can differ from measured ones.

a = 7.3111 Å, b = 4.0407 Å, c = 16.5247 Å
α = 90.00°, β = 90.00°, γ = 90.00°
Space group Pnma (No. 62)
Symmetry-distinct sites (fractional):
Nd (0.0482, 0.2500, 0.2162) x4
Nd (0.1668, 0.2500, 0.4394) x4
Zn (0.0016, 0.7500, 0.0607) x4
Zn (0.1243, 0.2500, 0.6507) x4
Rh (0.2445, 0.2500, 0.0647) x4
Rh (0.2470, 0.2500, 0.8138) x4

Largest 8 diffraction maxima, by intensity, 2θ = 5–70°:
| 2θ (°) | intensity |
| --- | --- |
| 37.0 | 100.0 |
| 33.4 | 74.0 |
| 35.1 | 53.4 |
| 43.1 | 48.3 |
| 44.9 | 45.6 |
| 33.0 | 42.6 |
| 37.3 | 32.4 |
| 36.7 | 22.1 |



What is the formula in the fourth record? NdSn4Rh2